Starting from a PBE-relaxed structure, the powder diffractogram of TaCuRh was computed for Cu Ka.

Cell and atoms:
a b c (Å): 4.654 4.723 4.723
angles (deg): 59.65 90.00 90.00
Element x y z (fractional)
Ta  0.250  0.223  0.777
Ta  0.750  0.777  0.223
Cu  0.250  0.891  0.452
Cu  0.750  0.452  0.891
Rh  0.250  0.554  0.126
Rh  0.750  0.126  0.554

The 12 most intense peaks (2θ from 10° to 90°), by angle:
2θ = 21.69°, intensity 13
2θ = 29.13°, intensity 20
2θ = 38.32°, intensity 31
2θ = 38.69°, intensity 35
2θ = 42.95°, intensity 100
2θ = 43.14°, intensity 7
2θ = 55.59°, intensity 21
2θ = 68.73°, intensity 6
2θ = 72.48°, intensity 15
2θ = 72.97°, intensity 20
2θ = 81.53°, intensity 7
2θ = 81.77°, intensity 8